Structure and simulated powder diffractogram of Sm2CoO3 (a structure optimized by DFT (GGA+U); Cu Kα).
No peak broadening, texture or thermal motion is included.

Atomic structure:
```
data_Sm2CoO3
_chemical_formula_sum 'Sm10 Co5 O15'
_cell_length_a 6.309
_cell_length_b 7.334
_cell_length_c 11.768
_cell_angle_alpha 87.37
_cell_angle_beta 83.98
_cell_angle_gamma 65.48
_symmetry_space_group_name_H-M 'P 1'
_symmetry_Int_Tables_number 1
_symmetry_space_group_name_Hall 'P 1'
loop_
_atom_site_label
_atom_site_fract_x
_atom_site_fract_y
_atom_site_fract_z
Sm1 0.000 0.000 0.000
Sm2 0.016 0.300 0.248
Sm3 0.044 0.802 0.319
Sm4 0.130 0.794 0.655
Sm5 0.351 0.397 0.030
Sm6 0.414 0.328 0.486
Sm7 0.491 0.980 0.823
Sm8 0.578 0.755 0.167
Sm9 0.677 0.642 0.511
Sm10 0.863 0.336 0.763
Co1 0.308 0.464 0.790
Co2 0.555 0.216 0.233
Co3 0.671 0.038 0.603
Co4 0.932 0.614 0.932
Co5 0.972 0.210 0.502
O1 0.130 0.999 0.791
O2 0.179 0.970 0.177
O3 0.234 0.169 0.963
O4 0.275 0.187 0.373
O5 0.327 0.667 0.463
O6 0.355 0.524 0.212
O7 0.412 0.224 0.685
O8 0.518 0.587 0.692
O9 0.672 0.214 0.904
O10 0.732 0.984 0.152
O11 0.772 0.209 0.367
O12 0.804 0.636 0.318
O13 0.870 0.836 0.512
O14 0.928 0.523 0.083
O15 0.945 0.626 0.773
```

Main lines, by intensity (2θ from 15° to 90°):
index	2theta	d [Å]	Rel. int.
1 2 2	28.3	3.156	100.0
2 1 0	28.5	3.137	98.1
1 -1 2	28.0	3.187	91.4
0 2 1	27.8	3.209	82.8
1 0 -3	28.9	3.089	74.4
0 1 4	33.4	2.681	66.9
1 1 3	26.5	3.362	52.3
1 2 1	25.4	3.503	52.2